MgI2O10: computed PXRD pattern (copper Kα), based on a PBE-relaxed structure.
Neutral-atom scattering factors, no anomalous dispersion.

Structural model:
Unit cell a=8.6221 b=5.5752 c=8.0673 alpha=90.00 beta=91.30 gamma=90.00
Space group P2_1/c (No. 14)
One atom of each set of equivalent atoms:
Mg 0.0000 0.0000 0.0000 [2 per cell]
I 0.3380 0.1902 0.4447 [4 per cell]
O 0.1219 0.6196 0.7321 [4 per cell]
O 0.1254 0.1958 0.4632 [4 per cell]
O 0.2080 0.6319 0.4031 [4 per cell]
O 0.3432 0.0897 0.2249 [4 per cell]
O 0.3628 0.6000 0.0511 [4 per cell]

Largest 6 diffraction maxima, by intensity, 2θ from 10° to 90°:
hkl	d/Å	I (rel.)
1 1 0	4.681	100
2 1 0	3.410	62
0 0 2	4.032	57
1 1 2	3.037	55
1 0 0	8.620	45
1 0 -2	3.685	43



LaCuSi: computed PXRD pattern (copper Kα), based on a PBE-relaxed structure.
Neutral-atom scattering factors, no anomalous dispersion.

Structural model:
Unit cell a=4.1861 b=4.1861 c=4.2208 alpha=90.00 beta=90.00 gamma=120.00
Space group P-6m2 (No. 187)
One atom of each set of equivalent atoms:
La 0.0000 0.0000 0.0000 [1 per cell]
Cu 0.3333 0.6667 0.5000 [1 per cell]
Si 0.6667 0.3333 0.5000 [1 per cell]

Largest 6 diffraction maxima, by intensity, 2θ from 10° to 90°:
hkl	d/Å	I (rel.)
1 0 1	2.750	100
1 1 0	2.093	35
1 0 0	3.625	25
1 1 2	1.486	23
2 0 1	1.666	22
2 1 1	1.303	19